Record 1
Diffraction record for EuTi4SnO12. The powder diffraction line list is theoretical, not measured: it uses a GGA-PBE-relaxed structure and Cu Kα (weighted mean of Kα1 and Kα2).
No peak broadening, texture or thermal motion is included.

Structure:
Cell lengths 7.7803, 7.5353, 7.5702 Å; angles 90.00, 90.00, 90.00 degrees
Space group Amm2 (No. 38)
Asymmetric unit:
1 Eu 0.0000 0.0000 0.0000 (multiplicity 2)
2 Ti 0.2447 0.2460 0.2680 (multiplicity 8)
3 Sn 0.5000 0.0000 0.5472 (multiplicity 2)
4 O 0.0000 0.1987 0.2708 (multiplicity 4)
5 O 0.2125 0.0000 0.7346 (multiplicity 4)
6 O 0.2363 0.1941 0.0213 (multiplicity 8)
7 O 0.3191 0.0000 0.3521 (multiplicity 4)
8 O 0.5000 0.2016 0.7217 (multiplicity 4)

Principal peaks in the range 2θ from 10° to 90°, sorted by position:
| 2θ (°) | Rel. int. |
| --- | --- |
| 20.17 | 100 |
| 33.06 | 55 |
| 33.56 | 29 |
| 38.59 | 17 |
| 39.54 | 17 |
| 59.76 | 13 |

***

Record 2
Diffraction record for KIrRu2O8. The powder diffraction line list is theoretical, not measured: it uses a GGA-PBE-relaxed structure and Cu Kα (weighted mean of Kα1 and Kα2).
No peak broadening, texture or thermal motion is included.

Structure:
Cell lengths 5.1198, 5.1198, 8.6958 Å; angles 90.00, 90.00, 120.00 degrees
Space group P-3 (No. 147)
Asymmetric unit:
1 K 0.0000 0.0000 0.0000 (multiplicity 1)
2 Ir 0.0000 0.0000 0.5000 (multiplicity 1)
3 Ru 0.3333 0.6667 0.7154 (multiplicity 2)
4 O 0.0168 0.3224 0.6336 (multiplicity 6)
5 O 0.3333 0.6667 0.9172 (multiplicity 2)

Principal peaks in the range 2θ from 10° to 90°, sorted by position:
| 2θ (°) | Rel. int. |
| --- | --- |
| 10.17 | 89 |
| 22.51 | 100 |
| 28.76 | 93 |
| 35.05 | 48 |
| 37.05 | 26 |
| 45.95 | 26 |

***

Record 3
Diffraction record for Dy7ThSc4. The powder diffraction line list is theoretical, not measured: it uses a GGA-PBE-relaxed structure and Cu Kα (weighted mean of Kα1 and Kα2).
No peak broadening, texture or thermal motion is included.

Structure:
Cell lengths 6.0294, 6.9610, 8.5713 Å; angles 89.73, 76.12, 89.97 degrees
Space group P-1 (No. 2)
Asymmetric unit:
1 Dy 0.0000 0.0000 0.0000 (multiplicity 1)
2 Dy 0.2223 0.5011 0.3348 (multiplicity 2)
3 Dy 0.2827 0.2447 0.6623 (multiplicity 2)
4 Dy 0.4991 0.7517 0.9952 (multiplicity 2)
5 Th 0.0000 0.5000 0.0000 (multiplicity 1)
6 Sc 0.2160 0.9999 0.3427 (multiplicity 2)
7 Sc 0.2703 0.7539 0.6663 (multiplicity 2)

Principal peaks in the range 2θ from 10° to 90°, sorted by position:
| 2θ (°) | Rel. int. |
| --- | --- |
| 29.86 | 82 |
| 32.27 | 71 |
| 32.96 | 100 |
| 33.09 | 51 |
| 34.82 | 93 |
| 52.59 | 54 |

***

Record 4
Diffraction record for Be2Tl5Pd12. The powder diffraction line list is theoretical, not measured: it uses a GGA-PBE-relaxed structure and Cu Kα (weighted mean of Kα1 and Kα2).
No peak broadening, texture or thermal motion is included.

Structure:
Cell lengths 14.0973, 5.7349, 8.9190 Å; angles 90.00, 100.95, 90.00 degrees
Space group C2/m (No. 12)
Asymmetric unit:
1 Be 0.0000 0.2034 0.0000 (multiplicity 4)
2 Tl 0.0000 0.5000 0.5000 (multiplicity 2)
3 Tl 0.1725 0.0000 0.6824 (multiplicity 4)
4 Tl 0.2185 0.0000 0.1982 (multiplicity 4)
5 Pd 0.0141 0.0000 0.2225 (multiplicity 4)
6 Pd 0.0365 0.5000 0.1723 (multiplicity 4)
7 Pd 0.1459 0.2595 0.9383 (multiplicity 8)
8 Pd 0.1561 0.2613 0.4169 (multiplicity 8)

Principal peaks in the range 2θ from 10° to 90°, sorted by position:
| 2θ (°) | Rel. int. |
| --- | --- |
| 24.77 | 46 |
| 27.35 | 68 |
| 37.49 | 47 |
| 38.40 | 100 |
| 39.05 | 26 |
| 40.86 | 56 |

***

Record 5
Diffraction record for TaMnRuAu. The powder diffraction line list is theoretical, not measured: it uses a GGA-PBE-relaxed structure and Cu Kα (weighted mean of Kα1 and Kα2).
No peak broadening, texture or thermal motion is included.

Structure:
Cell lengths 6.3020, 6.3020, 6.3020 Å; angles 90.00, 90.00, 90.00 degrees
Space group F-43m (No. 216)
Asymmetric unit:
1 Ta 0.0000 0.0000 0.0000 (multiplicity 4)
2 Mn 0.2500 0.2500 0.7500 (multiplicity 4)
3 Ru 0.2500 0.2500 0.2500 (multiplicity 4)
4 Au 0.0000 0.0000 0.5000 (multiplicity 4)

Principal peaks in the range 2θ from 10° to 90°, sorted by position:
| 2θ (°) | Rel. int. |
| --- | --- |
| 28.32 | 21 |
| 40.49 | 100 |
| 58.59 | 17 |
| 66.33 | 8 |
| 73.64 | 34 |
| 87.58 | 11 |

***

Record 6
Diffraction record for Cd2Rh. The powder diffraction line list is theoretical, not measured: it uses a GGA-PBE-relaxed structure and Cu Kα (weighted mean of Kα1 and Kα2).
No peak broadening, texture or thermal motion is included.

Structure:
Cell lengths 10.6639, 3.0616, 6.9261 Å; angles 90.00, 105.26, 90.00 degrees
Space group Cm (No. 8)
Asymmetric unit:
1 Cd 0.0000 0.0000 0.0000 (multiplicity 2)
2 Cd 0.0451 0.0000 0.5866 (multiplicity 2)
3 Cd 0.1787 0.5000 0.3115 (multiplicity 2)
4 Cd 0.3252 0.0000 0.6692 (multiplicity 2)
5 Rh 0.2185 0.5000 0.9306 (multiplicity 2)
6 Rh 0.3886 0.0000 0.2573 (multiplicity 2)

Principal peaks in the range 2θ from 10° to 90°, sorted by position:
| 2θ (°) | Rel. int. |
| --- | --- |
| 34.29 | 37 |
| 38.13 | 64 |
| 39.32 | 100 |
| 39.46 | 98 |
| 40.50 | 36 |
| 40.77 | 36 |

***

Record 7
Diffraction record for Zn16Ir6Rh7. The powder diffraction line list is theoretical, not measured: it uses a GGA-PBE-relaxed structure and Cu Kα (weighted mean of Kα1 and Kα2).
No peak broadening, texture or thermal motion is included.

Structure:
Cell lengths 12.0088, 12.0088, 12.0088 Å; angles 90.00, 90.00, 90.00 degrees
Space group Fm-3m (No. 225)
Asymmetric unit:
1 Zn 0.1229 0.1229 0.1229 (multiplicity 32)
2 Zn 0.1297 0.1297 0.3703 (multiplicity 32)
3 Ir 0.0000 0.0000 0.2536 (multiplicity 24)
4 Rh 0.0000 0.0000 0.5000 (multiplicity 4)
5 Rh 0.0000 0.2500 0.2500 (multiplicity 24)

Principal peaks in the range 2θ from 10° to 90°, sorted by position:
| 2θ (°) | Rel. int. |
| --- | --- |
| 20.92 | 16 |
| 29.76 | 8 |
| 36.66 | 8 |
| 42.59 | 100 |
| 61.80 | 16 |
| 77.95 | 32 |

***

Record 8
Diffraction record for Ca2LaSe. The powder diffraction line list is theoretical, not measured: it uses a GGA-PBE-relaxed structure and Cu Kα (weighted mean of Kα1 and Kα2).
No peak broadening, texture or thermal motion is included.

Structure:
Cell lengths 3.6962, 5.6134, 12.3774 Å; angles 90.00, 90.00, 90.00 degrees
Space group Immm (No. 71)
Asymmetric unit:
1 Ca 0.0000 0.0000 0.1920 (multiplicity 4)
2 La 0.0000 0.5000 0.0000 (multiplicity 2)
3 Se 0.0000 0.5000 0.5000 (multiplicity 2)

Principal peaks in the range 2θ from 10° to 90°, sorted by position:
| 2θ (°) | Rel. int. |
| --- | --- |
| 14.31 | 52 |
| 28.88 | 37 |
| 31.88 | 30 |
| 32.41 | 100 |
| 41.31 | 28 |
| 57.15 | 19 |

***

Record 9
Diffraction record for TiZnIn3. The powder diffraction line list is theoretical, not measured: it uses a GGA-PBE-relaxed structure and Cu Kα (weighted mean of Kα1 and Kα2).
No peak broadening, texture or thermal motion is included.

Structure:
Cell lengths 5.0751, 5.0751, 5.0751 Å; angles 90.00, 90.00, 90.00 degrees
Space group Pm-3m (No. 221)
Asymmetric unit:
1 Ti 0.0000 0.0000 0.0000 (multiplicity 1)
2 Zn 0.5000 0.5000 0.5000 (multiplicity 1)
3 In 0.0000 0.5000 0.5000 (multiplicity 3)

Principal peaks in the range 2θ from 10° to 90°, sorted by position:
| 2θ (°) | Rel. int. |
| --- | --- |
| 17.47 | 51 |
| 30.51 | 96 |
| 35.37 | 100 |
| 50.89 | 68 |
| 60.50 | 38 |
| 85.58 | 29 |

***

Repeat the seventh record exactly.
Diffraction record for Zn16Ir6Rh7. The powder diffraction line list is theoretical, not measured: it uses a GGA-PBE-relaxed structure and Cu Kα (weighted mean of Kα1 and Kα2).
No peak broadening, texture or thermal motion is included.

Structure:
Cell lengths 12.0088, 12.0088, 12.0088 Å; angles 90.00, 90.00, 90.00 degrees
Space group Fm-3m (No. 225)
Asymmetric unit:
1 Zn 0.1229 0.1229 0.1229 (multiplicity 32)
2 Zn 0.1297 0.1297 0.3703 (multiplicity 32)
3 Ir 0.0000 0.0000 0.2536 (multiplicity 24)
4 Rh 0.0000 0.0000 0.5000 (multiplicity 4)
5 Rh 0.0000 0.2500 0.2500 (multiplicity 24)

Principal peaks in the range 2θ from 10° to 90°, sorted by position:
| 2θ (°) | Rel. int. |
| --- | --- |
| 20.92 | 16 |
| 29.76 | 8 |
| 36.66 | 8 |
| 42.59 | 100 |
| 61.80 | 16 |
| 77.95 | 32 |

***

Please write out number 5 again, unchanged.
Diffraction record for TaMnRuAu. The powder diffraction line list is theoretical, not measured: it uses a GGA-PBE-relaxed structure and Cu Kα (weighted mean of Kα1 and Kα2).
No peak broadening, texture or thermal motion is included.

Structure:
Cell lengths 6.3020, 6.3020, 6.3020 Å; angles 90.00, 90.00, 90.00 degrees
Space group F-43m (No. 216)
Asymmetric unit:
1 Ta 0.0000 0.0000 0.0000 (multiplicity 4)
2 Mn 0.2500 0.2500 0.7500 (multiplicity 4)
3 Ru 0.2500 0.2500 0.2500 (multiplicity 4)
4 Au 0.0000 0.0000 0.5000 (multiplicity 4)

Principal peaks in the range 2θ from 10° to 90°, sorted by position:
| 2θ (°) | Rel. int. |
| --- | --- |
| 28.32 | 21 |
| 40.49 | 100 |
| 58.59 | 17 |
| 66.33 | 8 |
| 73.64 | 34 |
| 87.58 | 11 |